1.
For Pr2Sm3YBi6, DFT lattice parameters and positions (PBE) gives the simulated X-ray diffraction stick pattern in this record (Cu Kα (weighted mean of Kα1 and Kα2)).
Neutral-atom scattering factors, no anomalous dispersion.

The 8 most intense peaks (2θ from 5° to 70°), low angle first:
Position (°2θ)  I/Imax
23.8  7
27.6  100
39.4  78
46.6  4
48.8  29
56.9  14
62.6  2
64.4  37

a b c (Å): 10.227 10.227 9.148
angles (deg): 102.91 102.91 25.86
Positions (direct):
Pr (0.166, 0.166, 0.332)
Pr (0.834, 0.834, 0.668)
Sm (0.168, 0.168, 0.834)
Sm (0.500, 0.500, 0.500)
Sm (0.832, 0.832, 0.166)
Y (0.500, 0.500, 0.000)
Bi (0.002, 0.002, 0.754)
Bi (0.334, 0.334, 0.414)
Bi (0.335, 0.335, 0.922)
Bi (0.665, 0.665, 0.078)
Bi (0.666, 0.666, 0.586)
Bi (0.998, 0.998, 0.246)

2.
For Pr3SnBi2, DFT lattice parameters and positions (PBE) gives the simulated X-ray diffraction stick pattern in this record (Cu Kα (weighted mean of Kα1 and Kα2)).
Neutral-atom scattering factors, no anomalous dispersion.

The 10 most intense peaks (2θ from 5° to 70°), low angle first:
Position (°2θ)  I/Imax
23.6  2
27.4  100
39.0  40
39.2  39
48.3  22
48.6  7
56.4  14
63.7  19
64.0  13
64.0  6

a b c (Å): 8.003 8.003 7.957
angles (deg): 99.66 99.66 119.97
Positions (direct):
Pr (0.000, 0.500, 0.000)
Pr (0.164, 0.330, 0.497)
Pr (0.330, 0.164, 0.997)
Pr (0.500, 0.000, 0.500)
Pr (0.670, 0.836, 0.003)
Pr (0.836, 0.670, 0.503)
Sn (0.085, 0.915, 0.250)
Sn (0.915, 0.085, 0.750)
Bi (0.252, 0.748, 0.750)
Bi (0.417, 0.583, 0.250)
Bi (0.583, 0.417, 0.750)
Bi (0.748, 0.252, 0.250)

3.
For Pr5Sn2Bi2, DFT lattice parameters and positions (PBE) gives the simulated X-ray diffraction stick pattern in this record (Cu Kα (weighted mean of Kα1 and Kα2)).
Neutral-atom scattering factors, no anomalous dispersion.

The 10 most intense peaks (2θ from 5° to 70°), low angle first:
Position (°2θ)  I/Imax
28.6  93
29.6  78
30.4  100
31.3  68
32.2  84
33.6  72
33.7  72
41.7  30
43.6  65
60.9  44

a b c (Å): 9.174 9.174 8.567
angles (deg): 90.00 90.00 55.39
Positions (direct):
Pr (0.000, 0.000, 0.000)
Pr (0.037, 0.696, 0.668)
Pr (0.196, 0.537, 0.168)
Pr (0.304, 0.963, 0.668)
Pr (0.463, 0.804, 0.168)
Pr (0.500, 0.500, 0.500)
Pr (0.537, 0.196, 0.832)
Pr (0.696, 0.037, 0.332)
Pr (0.804, 0.463, 0.832)
Pr (0.963, 0.304, 0.332)
Sn (0.130, 0.870, 0.370)
Sn (0.370, 0.630, 0.870)
Sn (0.630, 0.370, 0.130)
Sn (0.870, 0.130, 0.630)
Bi (0.205, 0.205, 0.000)
Bi (0.295, 0.295, 0.500)
Bi (0.705, 0.705, 0.500)
Bi (0.795, 0.795, 0.000)

4.
For Sr2PrBi3, DFT lattice parameters and positions (PBE) gives the simulated X-ray diffraction stick pattern in this record (Cu Kα (weighted mean of Kα1 and Kα2)).
Neutral-atom scattering factors, no anomalous dispersion.

The 10 most intense peaks (2θ from 5° to 70°), low angle first:
Position (°2θ)  I/Imax
21.7  15
26.4  52
26.6  100
34.9  23
37.8  80
40.8  17
44.3  24
49.3  19
61.5  22
61.8  18

a b c (Å): 8.695 8.695 8.695
angles (deg): 150.56 134.28 55.32
Positions (direct):
Sr (0.173, 0.173, 0.000)
Sr (0.827, 0.827, 0.000)
Pr (0.500, 0.500, 0.000)
Bi (0.000, 0.500, 0.500)
Bi (0.344, 0.844, 0.500)
Bi (0.656, 0.156, 0.500)